No. 1
# Yb2Ni21B6
Simulated powder diffraction line list, copper Kα. Input: a structure optimized by DFT (PBE).
Kinematic intensities with the Lorentz-polarization factor, no thermal factor.

Top 8 peaks for 2θ from 10° to 90°, in order of falling intensity:
(hkl), 2θ/deg, intensity
3 3 3, 44.06, 100
4 2 0, 37.67, 79
4 2 2, 41.42, 69
6 6 0, 75.55, 40
4 4 0, 48.20, 35
5 3 1, 50.57, 24
6 4 4, 73.07, 23
6 2 2, 57.22, 21

Structure:
```
data_Yb2Ni21B6
_chemical_formula_sum 'Yb8 Ni84 B24'
_cell_length_a 10.679
_cell_length_b 10.679
_cell_length_c 10.679
_cell_angle_alpha 90.00
_cell_angle_beta 90.00
_cell_angle_gamma 90.00
_symmetry_space_group_name_H-M 'F m -3 m'
_symmetry_Int_Tables_number 225
_symmetry_space_group_name_Hall '-F 4 2 3'
loop_
_atom_site_label
_atom_site_type_symbol
_atom_site_fract_x
_atom_site_fract_y
_atom_site_fract_z
_atom_site_occupancy
Yb1 Yb 0.250 0.250 0.250 1
Ni1 Ni 0.000 0.000 0.000 1
Ni2 Ni 0.000 0.168 0.168 1
Ni3 Ni 0.112 0.112 0.388 1
B1 B 0.000 0.000 0.271 1
```

No. 2
# Yb3Ni7B2
Simulated powder diffraction line list, copper Kα. Input: a structure optimized by DFT (PBE).
Kinematic intensities with the Lorentz-polarization factor, no thermal factor.

Top 8 peaks for 2θ from 10° to 90°, in order of falling intensity:
(hkl), 2θ/deg, intensity
1 0 5, 37.49, 100
1 1 4, 43.64, 70
2 0 1, 41.41, 55
1 1 0, 35.23, 40
2 1 5, 64.71, 37
2 0 9, 73.48, 20
2 2 0, 74.49, 19
3 0 4, 69.06, 19

Structure:
```
data_Yb3Ni7B2
_chemical_formula_sum 'Yb6 Ni14 B4'
_cell_length_a 5.0949
_cell_length_b 5.0949
_cell_length_c 14.2918
_cell_angle_alpha 90.00
_cell_angle_beta 90.00
_cell_angle_gamma 120.00
_symmetry_space_group_name_H-M 'P 63/m m c'
_symmetry_Int_Tables_number 194
_symmetry_space_group_name_Hall '-P 6c 2c'
loop_
_atom_site_label
_atom_site_type_symbol
_atom_site_fract_x
_atom_site_fract_y
_atom_site_fract_z
_atom_site_occupancy
Yb1 Yb 0.3333 0.6667 0.0336 1
Yb2 Yb 0.3333 0.6667 0.2500 1
Ni1 Ni 0.0000 0.0000 0.0000 1
Ni2 Ni 0.1651 0.3303 0.6514 1
B1 B 0.0000 0.0000 0.2500 1
B2 B 0.3333 0.6667 0.7500 1
```

No. 3
# Zn2Ni21B6
Simulated powder diffraction line list, copper Kα. Input: a structure optimized by DFT (PBE).
Kinematic intensities with the Lorentz-polarization factor, no thermal factor.

Top 8 peaks for 2θ from 10° to 90°, in order of falling intensity:
(hkl), 2θ/deg, intensity
3 3 3, 44.93, 100
4 2 2, 42.23, 31
4 2 0, 38.40, 27
5 3 1, 51.58, 26
6 6 0, 77.22, 22
4 4 0, 49.17, 21
5 5 5, 79.12, 12
6 0 0, 52.37, 11

Structure:
```
data_Zn2Ni21B6
_chemical_formula_sum 'Zn8 Ni84 B24'
_cell_length_a 10.483
_cell_length_b 10.483
_cell_length_c 10.483
_cell_angle_alpha 90.00
_cell_angle_beta 90.00
_cell_angle_gamma 90.00
_symmetry_space_group_name_H-M 'F m -3 m'
_symmetry_Int_Tables_number 225
_symmetry_space_group_name_Hall '-F 4 2 3'
loop_
_atom_site_label
_atom_site_type_symbol
_atom_site_fract_x
_atom_site_fract_y
_atom_site_fract_z
_atom_site_occupancy
Zn1 Zn 0.250 0.250 0.250 1
Ni1 Ni 0.000 0.000 0.000 1
Ni2 Ni 0.000 0.169 0.169 1
Ni3 Ni 0.117 0.117 0.383 1
B1 B 0.000 0.000 0.274 1
```

No. 4
# ZnNi4B
Simulated powder diffraction line list, copper Kα. Input: a structure optimized by DFT (PBE).
Kinematic intensities with the Lorentz-polarization factor, no thermal factor.

Top 8 peaks for 2θ from 10° to 90°, in order of falling intensity:
(hkl), 2θ/deg, intensity
1 2 3, 47.42, 100
1 0 5, 45.46, 70
2 0 0, 41.69, 56
0 2 2, 38.10, 35
2 2 2, 57.74, 23
3 2 3, 80.20, 18
1 2 1, 41.25, 16
3 0 5, 78.76, 14

Structure:
```
data_ZnNi4B
_chemical_formula_sum 'Zn4 Ni16 B4'
_cell_length_a 4.333
_cell_length_b 5.206
_cell_length_c 11.238
_cell_angle_alpha 90.00
_cell_angle_beta 90.00
_cell_angle_gamma 90.00
_symmetry_space_group_name_H-M 'I m m m'
_symmetry_Int_Tables_number 71
_symmetry_space_group_name_Hall '-I 2 2'
loop_
_atom_site_label
_atom_site_type_symbol
_atom_site_fract_x
_atom_site_fract_y
_atom_site_fract_z
_atom_site_occupancy
Zn1 Zn 0.000 0.000 0.196 1
Ni1 Ni 0.000 0.221 0.000 1
Ni2 Ni 0.000 0.259 0.382 1
Ni3 Ni 0.000 0.500 0.178 1
B1 B 0.200 0.000 0.500 1
```

No. 5
# ZnNi6B2
Simulated powder diffraction line list, copper Kα. Input: a structure optimized by DFT (PBE).
Kinematic intensities with the Lorentz-polarization factor, no thermal factor.

Top 8 peaks for 2θ from 10° to 90°, in order of falling intensity:
(hkl), 2θ/deg, intensity
2 2 2, 44.41, 100
1 3 2, 47.73, 33
3 1 0, 42.40, 28
0 1 3, 38.01, 18
2 1 3, 46.96, 18
0 3 1, 40.39, 16
0 0 4, 48.24, 16
2 3 1, 48.99, 15

Structure:
```
data_ZnNi6B2
_chemical_formula_sum 'Zn4 Ni24 B8'
_cell_length_a 6.714
_cell_length_b 7.013
_cell_length_c 7.545
_cell_angle_alpha 90.00
_cell_angle_beta 90.00
_cell_angle_gamma 90.00
_symmetry_space_group_name_H-M 'I m m m'
_symmetry_Int_Tables_number 71
_symmetry_space_group_name_Hall '-I 2 2'
loop_
_atom_site_label
_atom_site_type_symbol
_atom_site_fract_x
_atom_site_fract_y
_atom_site_fract_z
_atom_site_occupancy
Zn1 Zn 0.000 0.000 0.000 1
Zn2 Zn 0.000 0.000 0.500 1
Ni1 Ni 0.000 0.215 0.240 1
Ni2 Ni 0.197 0.500 0.178 1
Ni3 Ni 0.206 0.309 0.500 1
B1 B 0.000 0.352 0.000 1
B2 B 0.000 0.500 0.380 1
```

No. 6
# Zr2Ni21B6
Simulated powder diffraction line list, copper Kα. Input: a structure optimized by DFT (PBE).
Kinematic intensities with the Lorentz-polarization factor, no thermal factor.

Top 8 peaks for 2θ from 10° to 90°, in order of falling intensity:
(hkl), 2θ/deg, intensity
3 3 3, 44.39, 100
4 2 0, 37.94, 38
4 2 2, 41.73, 37
6 6 0, 76.17, 27
5 3 1, 50.94, 25
4 4 0, 48.56, 23
5 5 5, 78.04, 12
6 4 4, 73.66, 11

Structure:
```
data_Zr2Ni21B6
_chemical_formula_sum 'Zr8 Ni84 B24'
_cell_length_a 10.605
_cell_length_b 10.605
_cell_length_c 10.605
_cell_angle_alpha 90.00
_cell_angle_beta 90.00
_cell_angle_gamma 90.00
_symmetry_space_group_name_H-M 'F m -3 m'
_symmetry_Int_Tables_number 225
_symmetry_space_group_name_Hall '-F 4 2 3'
loop_
_atom_site_label
_atom_site_type_symbol
_atom_site_fract_x
_atom_site_fract_y
_atom_site_fract_z
_atom_site_occupancy
Zr1 Zr 0.250 0.250 0.250 1
Ni1 Ni 0.000 0.000 0.000 1
Ni2 Ni 0.000 0.169 0.169 1
Ni3 Ni 0.114 0.114 0.386 1
B1 B 0.000 0.000 0.269 1
```

What is the formula in the fourth record?
ZnNi4B

Copy entry 3 word for word.
# Zn2Ni21B6
Simulated powder diffraction line list, copper Kα. Input: a structure optimized by DFT (PBE).
Kinematic intensities with the Lorentz-polarization factor, no thermal factor.

Top 8 peaks for 2θ from 10° to 90°, in order of falling intensity:
(hkl), 2θ/deg, intensity
3 3 3, 44.93, 100
4 2 2, 42.23, 31
4 2 0, 38.40, 27
5 3 1, 51.58, 26
6 6 0, 77.22, 22
4 4 0, 49.17, 21
5 5 5, 79.12, 12
6 0 0, 52.37, 11

Structure:
```
data_Zn2Ni21B6
_chemical_formula_sum 'Zn8 Ni84 B24'
_cell_length_a 10.483
_cell_length_b 10.483
_cell_length_c 10.483
_cell_angle_alpha 90.00
_cell_angle_beta 90.00
_cell_angle_gamma 90.00
_symmetry_space_group_name_H-M 'F m -3 m'
_symmetry_Int_Tables_number 225
_symmetry_space_group_name_Hall '-F 4 2 3'
loop_
_atom_site_label
_atom_site_type_symbol
_atom_site_fract_x
_atom_site_fract_y
_atom_site_fract_z
_atom_site_occupancy
Zn1 Zn 0.250 0.250 0.250 1
Ni1 Ni 0.000 0.000 0.000 1
Ni2 Ni 0.000 0.169 0.169 1
Ni3 Ni 0.117 0.117 0.383 1
B1 B 0.000 0.000 0.274 1
```

Number 1 is which compound?
Yb2Ni21B6